Diffraction record for NaNpWO6. The X-ray powder pattern is calculated, not measured: it uses a PBE+U-relaxed structure and Cu Kα (weighted mean of Kα1 and Kα2).

Cell and atoms:
Cell: 5.554 5.554 10.118 Å, 90.00 90.00 120.00°
Positions (direct):
Na: 0.000 0.000 0.000
Na: 0.000 0.000 0.500
Np: 0.333 0.667 0.250
Np: 0.667 0.333 0.750
W: 0.333 0.667 0.750
W: 0.667 0.333 0.250
O: 0.023 0.384 0.645
O: 0.023 0.639 0.855
O: 0.361 0.384 0.855
O: 0.361 0.977 0.645
O: 0.384 0.023 0.145
O: 0.384 0.361 0.355
O: 0.616 0.639 0.645
O: 0.616 0.977 0.855
O: 0.639 0.023 0.355
O: 0.639 0.616 0.145
O: 0.977 0.361 0.145
O: 0.977 0.616 0.355

Most intense lines, 10° ≤ 2θ ≤ 90°, sorted by position:
h k l, 2θ (°), d_spacing, Rel. int.
0 0 2, 17.53, 5.059, 100
1 0 0, 18.45, 4.810, 59
1 0 2, 25.55, 3.486, 79
1 1 0, 32.24, 2.777, 61
1 1 2, 36.93, 2.434, 83
1 1 4, 48.69, 1.870, 58